[1]
Diffraction record for Rb3Th3Te8Pd. The X-ray diffraction stick pattern is calculated, not measured: it uses a structure optimized by DFT (PBE) and Cu Kα, 1.54184 Å.
Peak positions follow from Bragg's law for the DFT cell and can differ from measured ones.

Principal peaks in the range 2θ = 15–90°, low angle first:
2θ (°)  I (rel.)
26.48  100
26.66  43
33.17  33
35.53  30
36.39  17
39.16  19
40.20  34
48.00  17

Cell lengths 8.977, 8.977, 10.028 Å; angles 115.27, 115.27, 61.67 degrees
Atoms (fractional coordinates):
Rb 0.000 0.000 0.000
Rb 0.000 0.500 0.000
Rb 0.500 0.000 0.000
Th 0.000 0.500 0.500
Th 0.500 0.000 0.500
Th 0.500 0.500 0.500
Te 0.208 0.208 0.677
Te 0.235 0.725 0.698
Te 0.263 0.263 0.290
Te 0.275 0.765 0.302
Te 0.725 0.235 0.698
Te 0.737 0.737 0.710
Te 0.765 0.275 0.302
Te 0.792 0.792 0.323
Pd 0.000 0.000 0.500

[2]
Diffraction record for Ho2ErTmTl2. The X-ray diffraction stick pattern is calculated, not measured: it uses a structure optimized by DFT (PBE) and Cu Kα, 1.54184 Å.
Peak positions follow from Bragg's law for the DFT cell and can differ from measured ones.

Principal peaks in the range 2θ = 15–90°, low angle first:
2θ (°)  I (rel.)
31.80  62
32.01  23
32.43  100
33.09  82
35.10  37
35.57  60
38.07  26
60.62  25

Cell lengths 5.047, 9.892, 6.780 Å; angles 90.00, 90.00, 90.00 degrees
Atoms (fractional coordinates):
Ho 0.000 0.042 0.000
Ho 0.000 0.958 0.500
Ho 0.500 0.188 0.283
Ho 0.500 0.812 0.783
Er 0.500 0.458 0.907
Er 0.500 0.542 0.407
Tm 0.000 0.312 0.624
Tm 0.000 0.688 0.124
Tl 0.000 0.369 0.163
Tl 0.000 0.631 0.663
Tl 0.500 0.135 0.747
Tl 0.500 0.865 0.247

[3]
Diffraction record for NaPu2O6. The X-ray diffraction stick pattern is calculated, not measured: it uses a structure optimized by DFT (PBE) and Cu Kα, 1.54184 Å.
Peak positions follow from Bragg's law for the DFT cell and can differ from measured ones.

Principal peaks in the range 2θ = 15–90°, low angle first:
2θ (°)  I (rel.)
18.59  33
25.95  100
32.50  33
42.05  27
49.55  30
54.13  26
59.35  10
74.17  10

Cell lengths 9.545, 9.545, 4.942 Å; angles 90.00, 90.00, 120.00 degrees
Atoms (fractional coordinates):
Na 0.000 0.000 0.000
Na 0.333 0.667 0.466
Na 0.667 0.333 0.534
Pu 0.000 0.346 0.000
Pu 0.000 0.678 0.500
Pu 0.322 0.322 0.500
Pu 0.346 0.000 0.000
Pu 0.654 0.654 0.000
Pu 0.678 0.000 0.500
O 0.089 0.541 0.241
O 0.107 0.250 0.221
O 0.143 0.893 0.221
O 0.193 0.771 0.713
O 0.229 0.422 0.713
O 0.250 0.107 0.779
O 0.422 0.229 0.287
O 0.452 0.911 0.241
O 0.459 0.548 0.241
O 0.541 0.089 0.759
O 0.548 0.459 0.759
O 0.578 0.807 0.713
O 0.750 0.857 0.221
O 0.771 0.193 0.287
O 0.807 0.578 0.287
O 0.857 0.750 0.779
O 0.893 0.143 0.779
O 0.911 0.452 0.759